Calculated powder X-ray diffraction pattern
Compound: PrTl3Pd7
Radiation: λ = 1.5418 Å (Cu Kα)
Structure: a cell relaxed with GGA-PBE

```
data_PrTl3Pd7
_chemical_formula_sum 'Pr2 Tl6 Pd14'
_cell_length_a 8.552
_cell_length_b 9.883
_cell_length_c 5.751
_cell_angle_alpha 90.00
_cell_angle_beta 111.67
_cell_angle_gamma 90.00
_symmetry_space_group_name_H-M 'C 1 2/m 1'
_symmetry_Int_Tables_number 12
_symmetry_space_group_name_Hall '-C 2y'
loop_
_atom_site_label
_atom_site_type_symbol
_atom_site_fract_x
_atom_site_fract_y
_atom_site_fract_z
Pr1 Pr 0.000 0.000 0.000
Tl1 Tl 0.000 0.272 0.500
Tl2 Tl 0.000 0.500 0.000
Pd1 Pd 0.000 0.000 0.500
Pd2 Pd 0.178 0.267 0.179
Pd3 Pd 0.194 0.500 0.540
```

Principal peaks in the range 10 to 80 degrees two-theta, most intense first:
(2 2 1), 2θ = 37.53°, I = 100; (2 0 -2), 2θ = 32.75°, I = 69; (0 4 0), 2θ = 36.36°, I = 64; (2 2 -1), 2θ = 28.86°, I = 39; (4 2 -1), 2θ = 46.27°, I = 36; (2 4 -2), 2θ = 49.74°, I = 35; (0 0 2), 2θ = 33.53°, I = 23; (2 0 0), 2θ = 22.38°, I = 21; (2 6 1), 2θ = 66.19°, I = 18; (3 3 -1), 2θ = 42.14°, I = 16